Structure and computed powder XRD pattern of Nb2WSe4S2 (the GGA-PBE geometry in Alexandria; Cu Kα (λ = 1.5418 Å)).
Neutral-atom scattering factors, no anomalous dispersion.

Principal peaks in the range 2θ from 10° to 90°, low angle first:
hkl  Position (°2θ)  I_rel
0 0 3  12.4  100
1 0 0  30.6  33
0 1 3  33.1  21
1 0 4  35.0  20
0 1 5  37.3  55
1 0 7  42.8  16
0 1 8  46.0  29
1 1 0  54.4  24
1 1 3  56.0  12
1 1 12  77.9  12

Unit cell a=3.3725 b=3.3725 c=21.4256 alpha=90.00 beta=90.00 gamma=120.00
Space group P3m1 (No. 156)
Inequivalent atoms, fractional coordinates:
Nb (0.0000, 0.0000, 0.0000) x1
Nb (0.3333, 0.6667, 0.3299) x1
W (0.3333, 0.6667, 0.6774) x1
Se (0.0000, 0.0000, 0.2495) x1
Se (0.0000, 0.0000, 0.4105) x1
Se (0.3333, 0.6667, 0.0805) x1
Se (0.3333, 0.6667, 0.9195) x1
S (0.0000, 0.0000, 0.6068) x1
S (0.0000, 0.0000, 0.7480) x1

Structure and computed powder XRD pattern of NbSiS4 (the GGA-PBE geometry in Alexandria; Cu Kα (λ = 1.5418 Å)).
Neutral-atom scattering factors, no anomalous dispersion.

Principal peaks in the range 2θ from 10° to 90°, low angle first:
hkl  Position (°2θ)  I_rel
1 0 0  14.8  66
0 0 2  15.5  100
0 1 1  16.7  91
1 0 2  21.5  39
1 1 1  22.4  24
1 1 2  26.2  66
1 2 2  37.1  20
2 2 0  42.7  27
2 0 4  43.8  51
2 2 2  45.7  20

Unit cell a=5.9817 b=5.9854 c=11.4238 alpha=90.00 beta=90.00 gamma=90.00
Space group P222 (No. 16)
Inequivalent atoms, fractional coordinates:
Nb (0.0000, 0.0000, 0.0000) x1
Nb (0.0000, 0.5000, 0.5000) x1
Si (0.0000, 0.0000, 0.5000) x1
Si (0.5000, 0.0000, 0.0000) x1
S (0.1991, 0.2300, 0.3954) x4
S (0.2702, 0.1990, 0.8955) x4

Structure and computed powder XRD pattern of SmNb4S8 (the GGA-PBE geometry in Alexandria; Cu Kα (λ = 1.5418 Å)).
Neutral-atom scattering factors, no anomalous dispersion.

Principal peaks in the range 2θ from 10° to 90°, low angle first:
hkl  Position (°2θ)  I_rel
0 0 1  13.0  100
1 1 -1  16.3  62
1 1 1  24.2  22
2 2 -1  29.8  50
2 2 -2  33.0  45
4 0 0  39.2  40
2 2 1  39.5  43
2 2 -3  40.7  64
4 0 -4  41.5  25
6 2 -3  53.4  30

Unit cell a=11.8614 b=6.9502 c=8.7866 alpha=90.00 beta=129.12 gamma=90.00
Space group C2/m (No. 12)
Inequivalent atoms, fractional coordinates:
Sm (0.0000, 0.0000, 0.0000) x2
Nb (0.0000, 0.2938, 0.5000) x4
Nb (0.2245, 0.5000, 0.4929) x4
S (0.0039, 0.0000, 0.6871) x4
S (0.0405, 0.5000, 0.7594) x4
S (0.2272, 0.2531, 0.2727) x8